Diffraction record for PrPuPdRh. The XRD peak list is simulated, not measured: it uses a GGA-PBE-relaxed structure and Cu Kα (weighted mean of Kα1 and Kα2).
Peak positions follow from Bragg's law for the DFT cell and can differ from measured ones.

Cell and atoms:
Unit cell a=4.143 b=6.039 c=6.039 alpha=37.95 beta=90.00 gamma=90.00
Fractional positions:
1 Pr 0.000 0.000 0.000
2 Pu 0.500 0.721 0.721
3 Pd 0.500 0.431 0.431
4 Rh 0.000 0.257 0.257

Top 10 peaks for 2θ = 10–90°, sorted by position:
2θ/deg, d/Å, I_rel
26.6, 3.354, 17
31.3, 2.855, 37
32.4, 2.766, 100
32.8, 2.734, 30
38.3, 2.351, 17
39.5, 2.282, 62
43.7, 2.072, 24
46.2, 1.964, 20
54.7, 1.677, 16
61.5, 1.507, 21

Diffraction record for PrPu2Si2Pd2. The XRD peak list is simulated, not measured: it uses a GGA-PBE-relaxed structure and Cu Kα (weighted mean of Kα1 and Kα2).
Peak positions follow from Bragg's law for the DFT cell and can differ from measured ones.

Cell and atoms:
Unit cell a=9.077 b=9.077 c=9.077 alpha=27.97 beta=27.97 gamma=27.97
Fractional positions:
1 Pr 0.000 0.000 0.000
2 Pu 0.140 0.140 0.140
3 Pu 0.860 0.860 0.860
4 Si 0.256 0.256 0.256
5 Si 0.744 0.744 0.744
6 Pd 0.414 0.414 0.414
7 Pd 0.586 0.586 0.586

Top 10 peaks for 2θ = 10–90°, sorted by position:
2θ/deg, d/Å, I_rel
10.1, 8.716, 49
23.7, 3.760, 24
27.1, 3.285, 35
33.6, 2.664, 100
36.3, 2.478, 27
41.2, 2.194, 71
45.0, 2.015, 17
54.2, 1.693, 26
68.8, 1.365, 15
70.2, 1.340, 24

Diffraction record for Pr2Zn5PdRu2. The XRD peak list is simulated, not measured: it uses a GGA-PBE-relaxed structure and Cu Kα (weighted mean of Kα1 and Kα2).
Peak positions follow from Bragg's law for the DFT cell and can differ from measured ones.

Cell and atoms:
Unit cell a=10.355 b=10.355 c=3.409 alpha=90.00 beta=90.00 gamma=90.00
Fractional positions:
1 Pr 0.181 0.319 0.000
2 Pr 0.319 0.819 0.000
3 Pr 0.681 0.181 0.000
4 Pr 0.819 0.681 0.000
5 Zn 0.000 0.500 0.500
6 Zn 0.052 0.809 0.500
7 Zn 0.191 0.052 0.500
8 Zn 0.309 0.552 0.500
9 Zn 0.448 0.309 0.500
10 Zn 0.500 0.000 0.500
11 Zn 0.552 0.691 0.500
12 Zn 0.691 0.448 0.500
13 Zn 0.809 0.948 0.500
14 Zn 0.948 0.191 0.500
15 Pd 0.000 0.000 0.000
16 Pd 0.500 0.500 0.000
17 Ru 0.131 0.631 0.000
18 Ru 0.369 0.131 0.000
19 Ru 0.631 0.869 0.000
20 Ru 0.869 0.369 0.000

Top 10 peaks for 2θ = 10–90°, sorted by position:
2θ/deg, d/Å, I_rel
27.2, 3.274, 14
31.4, 2.847, 10
35.8, 2.511, 40
36.0, 2.495, 25
36.8, 2.441, 27
38.1, 2.362, 100
41.1, 2.196, 30
53.8, 1.704, 20
60.8, 1.523, 14
66.3, 1.410, 13